This entry pairs a crystal structure of TmFe2BiO6 with its theoretical PXRD pattern. Radiation: Cu Kα, 1.54184 Å. Structure: a structure optimized by DFT (GGA+U).

Main lines, sorted by position (15 to 90 degrees two-theta):
| 2θ (°) | I (rel.) | hkl |
| --- | --- | --- |
| 22.46 | 72 | 0 1 2 |
| 31.56 | 100 | 1 0 4 |
| 32.39 | 92 | 1 1 0 |
| 39.77 | 25 | 2 0 2 |
| 45.85 | 44 | 0 2 4 |
| 51.07 | 32 | 1 1 6 |
| 52.19 | 17 | 1 2 2 |
| 55.67 | 17 | 0 1 8 |
| 57.25 | 40 | 2 1 4 |
| 57.77 | 25 | 3 0 0 |

Structure:
abc: 5.5288 5.5288 14.0722
angles: 90.00 90.00 120.00
Space group R3 (No. 146, hexagonal axes)
Inequivalent atoms, fractional coordinates:
Tm 0.0000 0.0000 0.0000
Fe 0.0000 0.0000 0.2808
Fe 0.0000 0.0000 0.7810
Bi 0.0000 0.0000 0.5044
O 0.0160 0.6206 0.0478
O 0.0183 0.4248 0.5481